No. 1
Structure and simulated X-ray powder pattern of Pr2Se3 (DFT lattice parameters and positions (PBE); CuKα).

Cell and atoms:
```
data_Pr2Se3
_cell_length_a 11.6031
_cell_length_b 4.2162
_cell_length_c 11.2348
_cell_angle_alpha 90.00
_cell_angle_beta 90.00
_cell_angle_gamma 90.00
_space_group_name_H-M_alt 'P n m a'
_space_group_IT_number 62
_space_group_name_Hall '-P 2ac 2n'
loop_
_atom_site_label
_atom_site_type_symbol
_atom_site_fract_x
_atom_site_fract_y
_atom_site_fract_z
_atom_site_occupancy
Pr1 Pr 0.0108 0.2500 0.1867 1
Pr2 Pr 0.1935 0.2500 0.5032 1
Se1 Se 0.0450 0.7500 0.3748 1
Se2 Se 0.1209 0.2500 0.9440 1
Se3 Se 0.2291 0.7500 0.7001 1
```

Largest 12 diffraction maxima, sorted by position, 15 to 90 degrees two-theta:
(2 0 2), 22.03°, intensity 58.7
(1 1 2), 27.55°, intensity 64.0
(2 1 2), 30.67°, intensity 64.3
(0 1 3), 31.96°, intensity 64.0
(3 1 1), 32.41°, intensity 55.2
(1 1 3), 32.89°, intensity 100.0
(3 1 2), 35.31°, intensity 70.6
(4 1 1), 38.51°, intensity 53.3
(1 1 4), 39.32°, intensity 45.7
(4 1 2), 41.04°, intensity 43.9
(0 2 0), 42.90°, intensity 70.8
(3 0 5), 46.76°, intensity 43.6



No. 2
Structure and simulated X-ray powder pattern of SrPrZn2Si2 (DFT lattice parameters and positions (PBE); CuKα).

Cell and atoms:
```
data_SrPrZn2Si2
_cell_length_a 4.2378
_cell_length_b 4.2378
_cell_length_c 8.8224
_cell_angle_alpha 90.00
_cell_angle_beta 90.00
_cell_angle_gamma 120.00
_space_group_name_H-M_alt 'P -3 m 1'
_space_group_IT_number 164
_space_group_name_Hall '-P 3 2"'
loop_
_atom_site_label
_atom_site_type_symbol
_atom_site_fract_x
_atom_site_fract_y
_atom_site_fract_z
_atom_site_occupancy
Sr1 Sr 0.0000 0.0000 0.0000 1
Pr1 Pr 0.0000 0.0000 0.5000 1
Zn1 Zn 0.3333 0.6667 0.7326 1
Si1 Si 0.3333 0.6667 0.2638 1
```

Largest 12 diffraction maxima, sorted by position, 15 to 90 degrees two-theta:
(1 0 0), 24.25°, intensity 15.1
(0 1 1), 26.30°, intensity 10.6
(0 1 2), 31.72°, intensity 100.0
(1 0 3), 39.26°, intensity 6.2
(0 0 4), 40.92°, intensity 13.0
(1 1 0), 42.67°, intensity 37.4
(1 0 4), 48.13°, intensity 5.9
(2 0 2), 54.13°, intensity 21.5
(1 1 4), 60.60°, intensity 23.8
(0 1 6), 68.78°, intensity 9.5
(1 2 2), 71.27°, intensity 18.6
(3 0 0), 78.13°, intensity 6.1



No. 3
Structure and simulated X-ray powder pattern of TbPrSi2 (DFT lattice parameters and positions (PBE); CuKα).

Cell and atoms:
```
data_TbPrSi2
_cell_length_a 3.9079
_cell_length_b 8.1560
_cell_length_c 5.8502
_cell_angle_alpha 90.00
_cell_angle_beta 90.00
_cell_angle_gamma 90.00
_space_group_name_H-M_alt 'P m n 21'
_space_group_IT_number 31
_space_group_name_Hall 'P 2ac -2'
loop_
_atom_site_label
_atom_site_type_symbol
_atom_site_fract_x
_atom_site_fract_y
_atom_site_fract_z
_atom_site_occupancy
Tb1 Tb 0.0000 0.0692 0.0000 1
Pr1 Pr 0.0000 0.5718 0.7284 1
Si1 Si 0.0000 0.2050 0.4917 1
Si2 Si 0.0000 0.7228 0.2403 1
```

Largest 12 diffraction maxima, sorted by position, 15 to 90 degrees two-theta:
(0 2 0), 21.79°, intensity 25.8
(0 2 1), 26.65°, intensity 31.1
(1 0 1), 27.45°, intensity 38.8
(1 1 1), 29.59°, intensity 100.0
(1 2 0), 31.71°, intensity 72.7
(0 1 2), 32.52°, intensity 81.5
(1 2 1), 35.32°, intensity 42.8
(0 3 1), 36.44°, intensity 47.4
(1 1 2), 40.06°, intensity 38.7
(2 0 0), 46.47°, intensity 24.1
(1 3 2), 51.51°, intensity 34.0
(2 1 2), 57.87°, intensity 31.4



No. 4
Structure and simulated X-ray powder pattern of TbPrSi2 (DFT lattice parameters and positions (PBE); CuKα).

Cell and atoms:
```
data_TbPrSi2
_cell_length_a 3.9098
_cell_length_b 5.8548
_cell_length_c 8.1421
_cell_angle_alpha 90.00
_cell_angle_beta 90.00
_cell_angle_gamma 90.00
_space_group_name_H-M_alt 'P m c 21'
_space_group_IT_number 26
_space_group_name_Hall 'P 2c -2'
loop_
_atom_site_label
_atom_site_type_symbol
_atom_site_fract_x
_atom_site_fract_y
_atom_site_fract_z
_atom_site_occupancy
Tb1 Tb 0.0000 0.1358 0.0000 1
Pr1 Pr 0.5000 0.3645 0.3589 1
Si1 Si 0.0000 0.3684 0.6449 1
Si2 Si 0.5000 0.1208 0.7168 1
```

Largest 12 diffraction maxima, sorted by position, 15 to 90 degrees two-theta:
(0 0 2), 21.83°, intensity 25.7
(0 1 2), 26.67°, intensity 31.3
(1 1 0), 27.43°, intensity 38.9
(1 1 1), 29.58°, intensity 100.0
(1 0 2), 31.73°, intensity 73.1
(0 2 1), 32.50°, intensity 81.8
(1 1 2), 35.33°, intensity 42.9
(0 1 3), 36.49°, intensity 47.6
(1 2 1), 40.04°, intensity 39.2
(2 0 0), 46.45°, intensity 24.3
(1 2 3), 51.53°, intensity 34.0
(2 2 1), 57.84°, intensity 31.5



No. 5
Structure and simulated X-ray powder pattern of PrSi2Tc2 (DFT lattice parameters and positions (PBE); CuKα).

Cell and atoms:
```
data_PrSi2Tc2
_cell_length_a 4.1658
_cell_length_b 4.1658
_cell_length_c 10.4184
_cell_angle_alpha 90.00
_cell_angle_beta 90.00
_cell_angle_gamma 90.00
_space_group_name_H-M_alt 'I 4/m m m'
_space_group_IT_number 139
_space_group_name_Hall '-I 4 2'
loop_
_atom_site_label
_atom_site_type_symbol
_atom_site_fract_x
_atom_site_fract_y
_atom_site_fract_z
_atom_site_occupancy
Pr1 Pr 0.0000 0.0000 0.0000 1
Si1 Si 0.0000 0.0000 0.3738 1
Tc1 Tc 0.0000 0.5000 0.2500 1
```

Largest 12 diffraction maxima, sorted by position, 15 to 90 degrees two-theta:
(1 0 1), 22.99°, intensity 24.8
(1 0 3), 33.60°, intensity 32.0
(0 0 4), 34.43°, intensity 18.2
(1 1 2), 34.99°, intensity 100.0
(2 0 0), 43.45°, intensity 37.0
(1 0 5), 48.87°, intensity 10.7
(2 1 3), 56.02°, intensity 14.6
(2 0 4), 56.58°, intensity 17.3
(1 1 6), 62.04°, intensity 18.9
(2 2 0), 63.13°, intensity 12.0
(3 1 2), 74.26°, intensity 21.6
(2 0 8), 88.56°, intensity 9.6



No. 6
Structure and simulated X-ray powder pattern of Pr4SiTe3 (DFT lattice parameters and positions (PBE); CuKα).

Cell and atoms:
```
data_Pr4SiTe3
_cell_length_a 9.0796
_cell_length_b 12.7179
_cell_length_c 4.4450
_cell_angle_alpha 90.00
_cell_angle_beta 90.00
_cell_angle_gamma 90.00
_space_group_name_H-M_alt 'C m m m'
_space_group_IT_number 65
_space_group_name_Hall '-C 2 2'
loop_
_atom_site_label
_atom_site_type_symbol
_atom_site_fract_x
_atom_site_fract_y
_atom_site_fract_z
_atom_site_occupancy
Pr1 Pr 0.0000 0.2343 0.0000 1
Pr2 Pr 0.2259 0.0000 0.5000 1
Si1 Si 0.0000 0.0000 0.0000 1
Te1 Te 0.0000 0.5000 0.0000 1
Te2 Te 0.2500 0.2500 0.5000 1
```

Largest 12 diffraction maxima, sorted by position, 15 to 90 degrees two-theta:
(2 0 1), 28.09°, intensity 100.0
(1 3 1), 30.76°, intensity 5.6
(4 0 0), 39.71°, intensity 12.2
(2 4 1), 40.13°, intensity 48.9
(0 0 2), 40.59°, intensity 12.7
(4 4 0), 49.33°, intensity 12.4
(0 4 2), 50.08°, intensity 13.2
(4 0 2), 58.06°, intensity 11.6
(4 4 2), 65.70°, intensity 20.2
(2 0 3), 66.37°, intensity 5.7
(6 4 1), 72.35°, intensity 6.8
(2 4 3), 73.54°, intensity 8.1



No. 7
Structure and simulated X-ray powder pattern of PrSmTe4 (DFT lattice parameters and positions (PBE); CuKα).

Cell and atoms:
```
data_PrSmTe4
_cell_length_a 4.5053
_cell_length_b 4.5053
_cell_length_c 9.1474
_cell_angle_alpha 90.00
_cell_angle_beta 90.00
_cell_angle_gamma 90.00
_space_group_name_H-M_alt 'P 4 m m'
_space_group_IT_number 99
_space_group_name_Hall 'P 4 -2'
loop_
_atom_site_label
_atom_site_type_symbol
_atom_site_fract_x
_atom_site_fract_y
_atom_site_fract_z
_atom_site_occupancy
Pr1 Pr 0.0000 0.0000 0.0000 1
Sm1 Sm 0.5000 0.5000 0.5428 1
Te1 Te 0.0000 0.0000 0.6381 1
Te2 Te 0.0000 0.5000 0.2742 1
Te3 Te 0.5000 0.5000 0.8984 1
```

Largest 12 diffraction maxima, sorted by position, 15 to 90 degrees two-theta:
(1 0 2), 27.80°, intensity 16.5
(1 1 0), 28.01°, intensity 23.7
(0 0 3), 29.29°, intensity 38.0
(1 1 1), 29.69°, intensity 100.0
(1 1 2), 34.30°, intensity 97.0
(1 0 3), 35.55°, intensity 53.6
(2 0 0), 40.03°, intensity 66.1
(2 0 3), 50.36°, intensity 33.4
(2 1 3), 54.59°, intensity 31.2
(2 2 0), 57.89°, intensity 22.3
(3 1 1), 66.41°, intensity 19.6
(3 1 2), 69.05°, intensity 25.1



No. 8
Structure and simulated X-ray powder pattern of PrSmTm (DFT lattice parameters and positions (PBE); CuKα).

Cell and atoms:
```
data_PrSmTm
_cell_length_a 7.7719
_cell_length_b 7.7719
_cell_length_c 7.7719
_cell_angle_alpha 90.00
_cell_angle_beta 90.00
_cell_angle_gamma 90.00
_space_group_name_H-M_alt 'F -4 3 m'
_space_group_IT_number 216
_space_group_name_Hall 'F -4 2 3'
loop_
_atom_site_label
_atom_site_type_symbol
_atom_site_fract_x
_atom_site_fract_y
_atom_site_fract_z
_atom_site_occupancy
Pr1 Pr 0.0000 0.0000 0.0000 1
Sm1 Sm 0.0000 0.0000 0.5000 1
Tm1 Tm 0.2500 0.2500 0.2500 1
```

Largest 12 diffraction maxima, sorted by position, 15 to 90 degrees two-theta:
(1 1 1), 19.79°, intensity 30.7
(2 0 0), 22.89°, intensity 9.0
(2 2 0), 32.59°, intensity 100.0
(3 1 1), 38.41°, intensity 17.2
(4 0 0), 46.75°, intensity 18.4
(3 3 1), 51.24°, intensity 7.6
(4 2 2), 58.15°, intensity 38.4
(5 1 1), 62.05°, intensity 5.7
(4 4 0), 68.27°, intensity 11.9
(5 3 1), 71.87°, intensity 5.5
(6 2 0), 77.71°, intensity 16.5
(4 4 4), 86.82°, intensity 4.2



No. 9
Structure and simulated X-ray powder pattern of TbPrZn2Sn2 (DFT lattice parameters and positions (PBE); CuKα).

Cell and atoms:
```
data_TbPrZn2Sn2
_cell_length_a 4.5705
_cell_length_b 4.5705
_cell_length_c 16.2311
_cell_angle_alpha 90.00
_cell_angle_beta 90.00
_cell_angle_gamma 120.00
_space_group_name_H-M_alt 'P 63/m m c'
_space_group_IT_number 194
_space_group_name_Hall '-P 6c 2c'
loop_
_atom_site_label
_atom_site_type_symbol
_atom_site_fract_x
_atom_site_fract_y
_atom_site_fract_z
_atom_site_occupancy
Tb1 Tb 0.0000 0.0000 0.0000 1
Pr1 Pr 0.0000 0.0000 0.2500 1
Zn1 Zn 0.3333 0.6667 0.1550 1
Sn1 Sn 0.3333 0.6667 0.6117 1
```

Largest 12 diffraction maxima, sorted by position, 15 to 90 degrees two-theta:
(1 0 0), 22.46°, intensity 6.2
(1 0 3), 27.93°, intensity 14.9
(1 0 4), 31.58°, intensity 100.0
(1 1 0), 39.43°, intensity 59.4
(0 0 8), 44.66°, intensity 7.4
(1 0 7), 45.33°, intensity 12.5
(2 0 4), 51.37°, intensity 25.6
(1 1 8), 61.08°, intensity 17.6
(2 1 4), 66.63°, intensity 23.5
(3 0 0), 71.51°, intensity 10.3
(2 2 0), 84.86°, intensity 6.7
(3 0 8), 88.37°, intensity 6.7



No. 10
Structure and simulated X-ray powder pattern of PrTmZn2Sn2 (DFT lattice parameters and positions (PBE); CuKα).

Cell and atoms:
```
data_PrTmZn2Sn2
_cell_length_a 4.5573
_cell_length_b 4.5573
_cell_length_c 15.9881
_cell_angle_alpha 90.00
_cell_angle_beta 90.00
_cell_angle_gamma 120.00
_space_group_name_H-M_alt 'P 63/m m c'
_space_group_IT_number 194
_space_group_name_Hall '-P 6c 2c'
loop_
_atom_site_label
_atom_site_type_symbol
_atom_site_fract_x
_atom_site_fract_y
_atom_site_fract_z
_atom_site_occupancy
Pr1 Pr 0.0000 0.0000 0.2500 1
Tm1 Tm 0.0000 0.0000 0.0000 1
Zn1 Zn 0.3333 0.6667 0.1521 1
Sn1 Sn 0.3333 0.6667 0.6087 1
```

Largest 12 diffraction maxima, sorted by position, 15 to 90 degrees two-theta:
(1 0 0), 22.53°, intensity 7.2
(1 0 3), 28.13°, intensity 14.2
(1 0 4), 31.87°, intensity 100.0
(1 1 0), 39.55°, intensity 59.5
(0 0 8), 45.38°, intensity 7.1
(1 0 7), 45.91°, intensity 11.0
(2 0 4), 51.66°, intensity 25.9
(1 1 8), 61.74°, intensity 17.1
(2 1 4), 66.96°, intensity 23.7
(3 0 0), 71.75°, intensity 10.3
(2 2 0), 85.17°, intensity 6.7
(3 0 8), 89.11°, intensity 6.6



No. 11
Structure and simulated X-ray powder pattern of PrY2Sn7 (DFT lattice parameters and positions (PBE); CuKα).

Cell and atoms:
```
data_PrY2Sn7
_cell_length_a 4.4373
_cell_length_b 26.6661
_cell_length_c 4.4932
_cell_angle_alpha 90.00
_cell_angle_beta 90.00
_cell_angle_gamma 90.00
_space_group_name_H-M_alt 'C m m m'
_space_group_IT_number 65
_space_group_name_Hall '-C 2 2'
loop_
_atom_site_label
_atom_site_type_symbol
_atom_site_fract_x
_atom_site_fract_y
_atom_site_fract_z
_atom_site_occupancy
Pr1 Pr 0.0000 0.0000 0.0000 1
Y1 Y 0.0000 0.3104 0.5000 1
Sn1 Sn 0.0000 0.0981 0.5000 1
Sn2 Sn 0.0000 0.2117 0.0000 1
Sn3 Sn 0.0000 0.4012 0.0000 1
Sn4 Sn 0.0000 0.5000 0.5000 1
```

Largest 12 diffraction maxima, sorted by position, 15 to 90 degrees two-theta:
(1 5 1), 32.97°, intensity 100.0
(0 10 0), 33.61°, intensity 20.7
(0 0 2), 40.14°, intensity 15.4
(2 0 0), 40.66°, intensity 15.3
(0 10 2), 53.32°, intensity 12.0
(2 10 0), 53.74°, intensity 11.4
(2 0 2), 58.46°, intensity 10.7
(1 15 1), 59.69°, intensity 12.9
(1 5 3), 68.41°, intensity 12.6
(3 5 1), 69.15°, intensity 22.8
(4 0 0), 88.06°, intensity 6.5
(3 15 1), 88.76°, intensity 4.7



No. 12
Structure and simulated X-ray powder pattern of PrTa (DFT lattice parameters and positions (PBE); CuKα).

Cell and atoms:
```
data_PrTa
_cell_length_a 3.1758
_cell_length_b 3.1758
_cell_length_c 5.5777
_cell_angle_alpha 90.00
_cell_angle_beta 90.00
_cell_angle_gamma 120.00
_space_group_name_H-M_alt 'P -6 m 2'
_space_group_IT_number 187
_space_group_name_Hall 'P -6 2'
loop_
_atom_site_label
_atom_site_type_symbol
_atom_site_fract_x
_atom_site_fract_y
_atom_site_fract_z
_atom_site_occupancy
Pr1 Pr 0.0000 0.0000 0.0000 1
Ta1 Ta 0.6667 0.3333 0.5000 1
```

Largest 12 diffraction maxima, sorted by position, 15 to 90 degrees two-theta:
(0 0 2), 32.09°, intensity 31.0
(1 0 0), 32.56°, intensity 23.3
(1 0 1), 36.42°, intensity 100.0
(1 0 2), 46.37°, intensity 17.6
(1 1 0), 58.09°, intensity 17.3
(1 0 3), 60.07°, intensity 23.6
(0 0 4), 67.13°, intensity 3.7
(1 1 2), 67.93°, intensity 21.6
(2 0 1), 70.54°, intensity 14.6
(1 0 4), 76.61°, intensity 4.0
(2 0 2), 77.37°, intensity 3.9
(2 0 3), 88.42°, intensity 8.4



No. 13
Structure and simulated X-ray powder pattern of PrTaZn (DFT lattice parameters and positions (PBE); CuKα).

Cell and atoms:
```
data_PrTaZn
_cell_length_a 6.6368
_cell_length_b 6.6368
_cell_length_c 6.6368
_cell_angle_alpha 90.00
_cell_angle_beta 90.00
_cell_angle_gamma 90.00
_space_group_name_H-M_alt 'F -4 3 m'
_space_group_IT_number 216
_space_group_name_Hall 'F -4 2 3'
loop_
_atom_site_label
_atom_site_type_symbol
_atom_site_fract_x
_atom_site_fract_y
_atom_site_fract_z
_atom_site_occupancy
Pr1 Pr 0.0000 0.0000 0.0000 1
Ta1 Ta 0.0000 0.0000 0.5000 1
Zn1 Zn 0.2500 0.2500 0.2500 1
```

Largest 12 diffraction maxima, sorted by position, 15 to 90 degrees two-theta:
(1 1 1), 23.21°, intensity 10.3
(2 0 0), 26.87°, intensity 51.2
(2 2 0), 38.36°, intensity 100.0
(3 1 1), 45.32°, intensity 5.2
(2 2 2), 47.45°, intensity 14.8
(4 0 0), 55.37°, intensity 17.2
(3 3 1), 60.84°, intensity 2.1
(4 2 0), 62.59°, intensity 19.8
(4 2 2), 69.37°, intensity 34.7
(4 4 0), 82.16°, intensity 10.9
(5 3 1), 86.82°, intensity 1.5
(6 0 0), 88.36°, intensity 10.2



No. 14
Structure and simulated X-ray powder pattern of TbPrU (DFT lattice parameters and positions (PBE); CuKα).

Cell and atoms:
```
data_TbPrU
_cell_length_a 7.4907
_cell_length_b 7.4907
_cell_length_c 7.4907
_cell_angle_alpha 90.00
_cell_angle_beta 90.00
_cell_angle_gamma 90.00
_space_group_name_H-M_alt 'F -4 3 m'
_space_group_IT_number 216
_space_group_name_Hall 'F -4 2 3'
loop_
_atom_site_label
_atom_site_type_symbol
_atom_site_fract_x
_atom_site_fract_y
_atom_site_fract_z
_atom_site_occupancy
Tb1 Tb 0.0000 0.0000 0.0000 1
Pr1 Pr 0.0000 0.0000 0.5000 1
U1 U 0.2500 0.2500 0.7500 1
```

Largest 12 diffraction maxima, sorted by position, 15 to 90 degrees two-theta:
(1 1 1), 20.54°, intensity 42.2
(2 0 0), 23.76°, intensity 2.5
(2 2 0), 33.85°, intensity 100.0
(3 1 1), 39.92°, intensity 24.1
(4 0 0), 48.62°, intensity 18.3
(3 3 1), 53.31°, intensity 10.6
(4 2 2), 60.55°, intensity 38.3
(5 1 1), 64.66°, intensity 8.1
(4 4 0), 71.21°, intensity 12.0
(5 3 1), 75.01°, intensity 8.2
(6 2 0), 81.22°, intensity 17.1
(5 3 3), 84.89°, intensity 3.1